(1)
Simulated powder XRD pattern of Zr2Sc2O5 for Cu Kα (λ = 1.5418 Å), from a cell relaxed with GGA-PBE.

Principal peaks in the range 10° ≤ 2θ ≤ 90°, low angle first:
d/Å, Rel. int.
4.714, 14
2.825, 100
2.495, 27
2.357, 12
1.764, 21
1.713, 38
1.496, 27
1.435, 12

Cell and atoms:
```
Zr2Sc2O5
1.0
3.5283 0.0000 0.0000
0.0000 3.5283 0.0000
0.0000 0.0000 9.4286
Zr Sc O
2 2 5
Cartesian
0.0000 0.0000 0.0000
0.0000 0.0000 4.7143
1.7642 1.7642 2.3387
1.7642 1.7642 7.0900
0.0000 1.7642 1.2917
0.0000 1.7642 8.1369
1.7642 0.0000 1.2917
1.7642 0.0000 8.1369
1.7642 1.7642 4.7143
```

(2)
Simulated powder XRD pattern of Tb2SiSeO4 for Cu Kα (λ = 1.5418 Å), from a cell relaxed with GGA-PBE.

Principal peaks in the range 10° ≤ 2θ ≤ 90°, low angle first:
d/Å, Rel. int.
4.198, 43
4.018, 43
3.480, 42
2.924, 100
2.695, 68
2.680, 63
2.461, 53
1.597, 38

Cell and atoms:
```
Tb2SiSeO4
1.0
6.0297 0.0000 0.0000
0.0000 6.9614 0.0000
0.0000 0.0000 10.7800
Tb Si Se O
8 4 4 16
Cartesian
0.6463 1.7403 0.0000
0.6463 1.7403 5.3900
2.2198 3.6864 2.6950
2.2198 6.7557 8.0850
3.8099 0.2057 2.6950
3.8099 3.2750 8.0850
5.3834 5.2210 0.0000
5.3834 5.2210 5.3900
2.3392 5.2210 0.0000
2.3392 5.2210 5.3900
3.6905 1.7403 0.0000
3.6905 1.7403 5.3900
0.4717 4.3297 8.0850
0.4717 6.1123 2.6950
5.5580 0.8491 8.0850
5.5580 2.6316 2.6950
1.3549 3.9584 0.3483
1.3549 3.9584 5.0417
1.3549 6.4837 5.7383
1.3549 6.4837 10.4317
2.6835 1.6729 6.6941
2.6835 1.6729 9.4758
2.6835 1.8078 1.3041
2.6835 1.8078 4.0858
3.3462 5.1536 6.6941
3.3462 5.1536 9.4758
3.3462 5.2885 1.3041
3.3462 5.2885 4.0858
4.6748 0.4777 0.3483
4.6748 0.4777 5.0417
4.6748 3.0030 5.7383
4.6748 3.0030 10.4317
```

(3)
Simulated powder XRD pattern of Sm2Se2O7 for Cu Kα (λ = 1.5418 Å), from a cell relaxed with GGA-PBE.

Principal peaks in the range 10° ≤ 2θ ≤ 90°, low angle first:
d/Å, Rel. int.
7.593, 13
3.082, 100
2.684, 30
2.640, 13
1.898, 13
1.882, 25
1.616, 31
1.597, 14

Cell and atoms:
```
Sm2Se2O7
1.0
10.7377 0.0000 0.0000
0.0000 10.7377 0.0000
0.0000 0.0000 5.2794
Sm Se O
8 8 28
Cartesian
1.3607 6.7296 0.0000
1.3607 9.3770 2.6397
4.0081 6.7296 2.6397
4.0081 9.3770 0.0000
6.7296 1.3607 0.0000
6.7296 4.0081 2.6397
9.3770 1.3607 2.6397
9.3770 4.0081 0.0000
1.3954 1.3954 0.1833
1.3954 3.9735 2.8230
3.9735 1.3954 2.8230
3.9735 3.9735 0.1833
6.7642 6.7642 5.0961
6.7642 9.3423 2.4564
9.3423 6.7642 2.4564
9.3423 9.3423 5.0961
0.0122 7.2969 3.3063
0.0122 8.8096 0.6667
0.7289 0.7289 1.6339
0.7289 4.6399 4.2736
1.9281 5.3811 1.9730
1.9281 10.7255 4.6127
2.6844 8.0533 1.3198
2.6844 8.0533 3.9595
3.4408 5.3811 4.6127
3.4408 10.7255 1.9730
4.6399 0.7289 4.2736
4.6399 4.6399 1.6339
5.3566 7.2969 0.6667
5.3566 8.8096 3.3063
5.3811 1.9281 1.9730
5.3811 3.4408 4.6127
6.0978 6.0978 3.6455
6.0978 10.0088 1.0058
7.2969 0.0122 3.3063
7.2969 5.3566 0.6667
8.0533 2.6844 1.3198
8.0533 2.6844 3.9595
8.8096 0.0122 0.6667
8.8096 5.3566 3.3063
10.0088 6.0978 1.0058
10.0088 10.0088 3.6455
10.7255 1.9281 4.6127
10.7255 3.4408 1.9730
```

(4)
Simulated powder XRD pattern of SrSmZn2Se2O2 for Cu Kα (λ = 1.5418 Å), from a cell relaxed with GGA-PBE.

Principal peaks in the range 10° ≤ 2θ ≤ 90°, low angle first:
d/Å, Rel. int.
3.364, 93
2.989, 59
2.820, 37
2.571, 100
2.035, 79
1.659, 21
1.650, 43
1.596, 23

Cell and atoms:
```
SrSmZn2Se2O2
1.0
4.0692 0.0000 0.0000
-2.0346 3.5241 0.0000
0.0000 0.0000 11.2795
Sr Sm Zn Se O
1 1 2 2 2
Cartesian
0.0000 0.0000 0.0000
0.0000 2.3494 5.5797
2.0346 1.1747 3.1908
2.0346 1.1747 8.6909
0.0000 0.0000 7.7514
0.0000 2.3494 2.4184
2.0346 1.1747 5.1995
2.0346 1.1747 10.6152
```

(5)
Simulated powder XRD pattern of ZnSnSeO for Cu Kα (λ = 1.5418 Å), from a cell relaxed with GGA-PBE.

Principal peaks in the range 10° ≤ 2θ ≤ 90°, low angle first:
d/Å, Rel. int.
3.784, 33
3.014, 100
2.935, 71
2.669, 54
2.481, 32
2.001, 30
1.890, 29
1.775, 26

Cell and atoms:
```
ZnSnSeO
1.0
5.7042 0.0000 0.0000
0.0000 7.5678 0.0000
0.0000 0.0000 16.0790
Zn Sn Se O
8 8 8 8
Cartesian
0.4609 1.7393 3.2057
0.4609 2.0446 11.2451
2.3912 5.5232 3.2057
2.3912 5.8285 11.2451
3.3130 1.7393 4.8338
3.3130 2.0446 12.8733
5.2433 5.5232 4.8338
5.2433 5.8285 12.8733
0.6013 1.8337 6.8165
0.6013 1.9502 14.8560
2.2508 5.6176 6.8165
2.2508 5.7341 14.8560
3.4534 1.8337 1.2230
3.4534 1.9502 9.2625
5.1029 5.6176 1.2230
5.1029 5.7341 9.2625
1.3771 0.1057 9.8675
1.3771 3.6782 1.8280
1.4751 3.8896 9.8675
1.4751 7.4621 1.8280
4.2292 0.1057 14.2510
4.2292 3.6782 6.2115
4.3272 3.8896 14.2510
4.3272 7.4621 6.2115
1.3665 1.7423 4.9166
1.3665 2.0416 12.9561
1.4856 5.5261 4.9166
1.4856 5.8255 12.9561
4.2186 1.7423 3.1229
4.2186 2.0416 11.1624
4.3377 5.5261 3.1229
4.3377 5.8255 11.1624
```

What did the fifth record say?
Simulated powder XRD pattern of ZnSnSeO for Cu Kα (λ = 1.5418 Å), from a cell relaxed with GGA-PBE.

Principal peaks in the range 10° ≤ 2θ ≤ 90°, low angle first:
d/Å, Rel. int.
3.784, 33
3.014, 100
2.935, 71
2.669, 54
2.481, 32
2.001, 30
1.890, 29
1.775, 26

Cell and atoms:
```
ZnSnSeO
1.0
5.7042 0.0000 0.0000
0.0000 7.5678 0.0000
0.0000 0.0000 16.0790
Zn Sn Se O
8 8 8 8
Cartesian
0.4609 1.7393 3.2057
0.4609 2.0446 11.2451
2.3912 5.5232 3.2057
2.3912 5.8285 11.2451
3.3130 1.7393 4.8338
3.3130 2.0446 12.8733
5.2433 5.5232 4.8338
5.2433 5.8285 12.8733
0.6013 1.8337 6.8165
0.6013 1.9502 14.8560
2.2508 5.6176 6.8165
2.2508 5.7341 14.8560
3.4534 1.8337 1.2230
3.4534 1.9502 9.2625
5.1029 5.6176 1.2230
5.1029 5.7341 9.2625
1.3771 0.1057 9.8675
1.3771 3.6782 1.8280
1.4751 3.8896 9.8675
1.4751 7.4621 1.8280
4.2292 0.1057 14.2510
4.2292 3.6782 6.2115
4.3272 3.8896 14.2510
4.3272 7.4621 6.2115
1.3665 1.7423 4.9166
1.3665 2.0416 12.9561
1.4856 5.5261 4.9166
1.4856 5.8255 12.9561
4.2186 1.7423 3.1229
4.2186 2.0416 11.1624
4.3377 5.5261 3.1229
4.3377 5.8255 11.1624
```